Record 1
Computed powder diffractogram
Compound: PrDy2Y9
Radiation: CuKα
Structure: a cell relaxed with PBE

Structure:
```
PrDy2Y9
1.0
5.0616 0.0000 0.0000
0.0000 5.0616 0.0000
0.0000 0.0000 15.1906
Pr Dy Y
1 2 9
Cartesian
0.0000 0.0000 0.0000 Pr
0.0000 0.0000 5.0794 Dy
0.0000 0.0000 10.1112 Dy
0.0000 2.5308 2.5699 Y
0.0000 2.5308 7.5953 Y
0.0000 2.5308 12.6207 Y
2.5308 0.0000 2.5699 Y
2.5308 0.0000 7.5953 Y
2.5308 0.0000 12.6207 Y
2.5308 2.5308 0.0000 Y
2.5308 2.5308 5.0897 Y
2.5308 2.5308 10.1009 Y
```

Peak list (12 most intense, 2θ from 15° to 90°, in order of rising 2θ)
d = 5.062 Å, I 5.9
d = 3.580 Å, I 5.3
d = 2.923 Å, I 100.0
d = 2.531 Å, I 50.2
d = 2.264 Å, I 3.3
d = 2.067 Å, I 2.6
d = 1.790 Å, I 34.9
d = 1.526 Å, I 41.0
d = 1.461 Å, I 11.8
d = 1.266 Å, I 5.4
d = 1.161 Å, I 16.5
d = 1.132 Å, I 15.4

=====

Record 2
Computed powder diffractogram
Compound: Pr2Dy4Y7
Radiation: CuKα
Structure: a cell relaxed with PBE

Structure:
```
Pr2Dy4Y7
1.0
6.1150 0.0000 0.0000
-3.0575 5.2958 0.0000
0.0000 0.0000 13.4122
Pr Dy Y
2 4 7
Cartesian
0.0000 3.5305 0.0000 Pr
3.0575 1.7653 0.0000 Pr
0.0000 0.0000 5.3077 Dy
0.0000 0.0000 8.1045 Dy
0.0000 3.5305 6.7061 Dy
3.0575 1.7653 6.7061 Dy
0.0000 0.0000 0.0000 Y
-1.0793 1.8694 2.9227 Y
-1.9782 3.4264 10.4895 Y
2.1586 0.0000 2.9227 Y
1.0793 1.8694 10.4895 Y
3.9564 0.0000 10.4895 Y
1.9782 3.4264 2.9227 Y
```

Peak list (12 most intense, 2θ from 15° to 90°, in order of rising 2θ)
d = 3.353 Å, I 16.1
d = 3.058 Å, I 32.9
d = 2.981 Å, I 30.3
d = 2.833 Å, I 25.6
d = 2.782 Å, I 100.0
d = 2.524 Å, I 17.9
d = 1.804 Å, I 13.8
d = 1.765 Å, I 28.1
d = 1.719 Å, I 10.6
d = 1.491 Å, I 20.2
d = 1.470 Å, I 12.6
d = 1.139 Å, I 13.1

=====

Record 3
Computed powder diffractogram
Compound: Pr2Dy7Y2
Radiation: CuKα
Structure: a cell relaxed with PBE

Structure:
```
Pr2Dy7Y2
1.0
5.6941 -5.7388 0.0000
5.6941 5.7388 0.0000
-2.4185 0.0000 5.5746
Pr Dy Y
2 7 2
Cartesian
2.4325 0.0000 0.5157 Pr
6.5372 0.0000 5.0589 Pr
-1.2092 0.0000 2.7873 Dy
2.9173 3.0495 1.8252 Dy
6.0524 3.0495 3.7494 Dy
3.0100 0.0000 3.8895 Dy
5.9596 0.0000 1.6851 Dy
2.9173 -3.0495 1.8252 Dy
6.0524 -3.0495 3.7494 Dy
5.6941 3.2357 0.0000 Y
5.6941 -3.2357 0.0000 Y
```

Peak list (12 most intense, 2θ from 15° to 90°, in order of rising 2θ)
d = 3.509 Å, I 29.1
d = 2.909 Å, I 31.1
d = 2.869 Å, I 49.5
d = 2.839 Å, I 27.1
d = 2.811 Å, I 100.0
d = 2.663 Å, I 35.3
d = 2.654 Å, I 29.8
d = 2.018 Å, I 16.8
d = 1.825 Å, I 13.9
d = 1.666 Å, I 12.0
d = 1.645 Å, I 15.4
d = 1.613 Å, I 13.8

=====

Record 4
Computed powder diffractogram
Compound: Pr6DyZn2
Radiation: CuKα
Structure: a cell relaxed with PBE

Structure:
```
Pr6DyZn2
1.0
6.4603 -1.8756 0.0000
6.4603 1.8756 0.0000
-4.1077 0.0000 11.4842
Pr Dy Zn
6 1 2
Cartesian
-0.9627 0.0000 3.7352 Pr
3.5175 0.0000 1.4242 Pr
2.3558 0.0000 4.6759 Pr
6.4572 0.0000 6.8083 Pr
5.2954 0.0000 10.0599 Pr
9.7756 0.0000 7.7490 Pr
0.0000 0.0000 0.0000 Dy
1.2946 0.0000 9.2852 Zn
7.5184 0.0000 2.1990 Zn
```

Peak list (12 most intense, 2θ from 15° to 90°, in order of rising 2θ)
d = 3.221 Å, I 7.9
d = 3.018 Å, I 7.5
d = 2.905 Å, I 24.7
d = 2.838 Å, I 22.9
d = 2.755 Å, I 100.0
d = 2.027 Å, I 9.0
d = 1.943 Å, I 8.1
d = 1.876 Å, I 9.7
d = 1.647 Å, I 9.6
d = 1.622 Å, I 11.9
d = 1.576 Å, I 7.6
d = 1.565 Å, I 7.6

=====

Record 5
Computed powder diffractogram
Compound: PrDy2Zn2
Radiation: CuKα
Structure: a cell relaxed with PBE

Structure:
```
PrDy2Zn2
1.0
2.6294 -7.7292 0.0000
2.6294 7.7292 0.0000
0.0000 0.0000 6.2872
Pr Dy Zn
2 4 4
Cartesian
2.6294 6.4170 3.1436 Pr
2.6294 -6.4170 0.0000 Pr
2.6294 3.1214 1.6577 Dy
2.6294 0.6314 4.0387 Dy
2.6294 -0.6314 0.8951 Dy
2.6294 -3.1214 4.8013 Dy
2.6294 5.7336 6.2563 Zn
2.6294 3.3687 4.8470 Zn
2.6294 -3.3687 1.7034 Zn
2.6294 -5.7336 3.1127 Zn
```

Peak list (12 most intense, 2θ from 15° to 90°, in order of rising 2θ)
d = 3.292 Å, I 20.9
d = 3.176 Å, I 37.3
d = 2.912 Å, I 28.5
d = 2.662 Å, I 100.0
d = 2.629 Å, I 47.7
d = 2.454 Å, I 28.7
d = 2.439 Å, I 16.0
d = 2.390 Å, I 23.4
d = 2.055 Å, I 11.4
d = 1.952 Å, I 18.0
d = 1.788 Å, I 12.4
d = 1.524 Å, I 18.0

=====

Record 6
Computed powder diffractogram
Compound: Pr2Dy12Zr
Radiation: CuKα
Structure: a cell relaxed with PBE

Structure:
```
Pr2Dy12Zr
1.0
3.5095 -5.6396 0.0000
3.5095 5.6396 0.0000
0.0000 0.0000 24.5535
Pr Dy Zr
4 24 2
Cartesian
3.5095 2.8198 5.8457 Pr
3.5095 2.8198 18.8643 Pr
3.5095 -2.8198 5.6892 Pr
3.5095 -2.8198 18.7079 Pr
3.5095 5.6361 10.5463 Dy
3.5095 -5.6361 14.0072 Dy
1.7583 2.8198 15.1483 Dy
1.8404 2.8198 2.0891 Dy
3.5095 5.4742 23.0374 Dy
1.7547 0.0000 4.2860 Dy
1.7547 0.0000 7.4995 Dy
1.7547 0.0000 17.0540 Dy
1.7547 0.0000 20.2676 Dy
3.5095 0.1654 23.0374 Dy
5.1786 2.8198 2.0891 Dy
5.2607 2.8198 15.1483 Dy
3.5095 0.0035 10.5463 Dy
3.5095 -0.0035 14.0072 Dy
1.7583 -2.8198 9.4052 Dy
1.8404 -2.8198 22.4645 Dy
3.5095 -0.1654 1.5161 Dy
5.2642 0.0000 4.2860 Dy
5.2642 0.0000 7.4995 Dy
5.2642 0.0000 17.0540 Dy
5.2642 0.0000 20.2676 Dy
3.5095 -5.4742 1.5161 Dy
5.1786 -2.8198 22.4645 Dy
5.2607 -2.8198 9.4052 Dy
3.5095 2.8198 12.2780 Zr
3.5095 -2.8198 12.2755 Zr
```

Peak list (12 most intense, 2θ from 15° to 90°, in order of rising 2θ)
d = 3.047 Å, I 26.0
d = 2.979 Å, I 35.3
d = 2.896 Å, I 100.0
d = 2.820 Å, I 79.9
d = 2.696 Å, I 71.6
d = 2.681 Å, I 39.0
d = 2.409 Å, I 60.5
d = 2.069 Å, I 17.5
d = 1.755 Å, I 20.3
d = 1.642 Å, I 17.9
d = 1.490 Å, I 22.9
d = 1.471 Å, I 22.6

=====

Record 7
Computed powder diffractogram
Compound: Dy2Pt17
Radiation: CuKα
Structure: a cell relaxed with PBE

Structure:
```
Dy2Pt17
1.0
4.6360 2.6766 4.4634
-4.6360 2.6766 4.4634
0.0000 -5.3532 4.4634
Dy Pt
2 17
Cartesian
0.0000 0.0000 2.2069 Dy
0.0000 0.0000 11.1832 Dy
-2.3180 -1.3383 4.4634 Pt
0.0000 -2.7293 4.3505 Pt
-2.3637 1.3647 4.3505 Pt
-1.4579 -2.5252 6.6950 Pt
-2.9159 0.0000 6.6950 Pt
-2.3637 -1.3647 9.0396 Pt
0.0000 0.0000 5.2110 Pt
-2.3180 1.3383 8.9267 Pt
1.4579 -2.5252 6.6950 Pt
0.0000 2.6766 4.4634 Pt
-1.4579 2.5252 6.6950 Pt
0.0000 0.0000 8.1791 Pt
2.3637 1.3647 4.3505 Pt
2.9159 0.0000 6.6950 Pt
1.4579 2.5252 6.6950 Pt
2.3637 -1.3647 9.0396 Pt
0.0000 2.7293 9.0396 Pt
```

Peak list (12 most intense, 2θ from 15° to 90°, in order of rising 2θ)
d = 4.636 Å, I 17.4
d = 2.677 Å, I 35.4
d = 2.318 Å, I 55.2
d = 2.295 Å, I 99.3
d = 2.231 Å, I 52.8
d = 2.057 Å, I 100.0
d = 2.010 Å, I 24.0
d = 1.608 Å, I 16.7
d = 1.460 Å, I 21.5
d = 1.338 Å, I 32.2
d = 1.300 Å, I 27.9
d = 1.148 Å, I 27.1

=====

Record 8
Computed powder diffractogram
Compound: Dy6Pt23
Radiation: CuKα
Structure: a cell relaxed with PBE

Structure:
```
Dy6Pt23
1.0
0.0000 6.4451 6.4451
6.4451 0.0000 6.4451
6.4451 6.4451 0.0000
Dy Pt
6 23
Cartesian
6.4451 6.4451 2.8384 Dy
6.4451 2.8384 6.4451 Dy
10.0517 6.4451 6.4451 Dy
2.8384 6.4451 6.4451 Dy
6.4451 10.0517 6.4451 Dy
6.4451 6.4451 10.0517 Dy
3.2225 3.2225 0.0000 Pt
3.2225 0.0000 3.2225 Pt
6.4451 3.2225 3.2225 Pt
8.0028 4.8873 4.8873 Pt
2.1398 2.1398 2.1398 Pt
4.3053 4.3053 2.1398 Pt
4.3053 2.1398 4.3053 Pt
4.8873 4.8873 4.8873 Pt
8.0028 8.0028 4.8873 Pt
8.0028 4.8873 8.0028 Pt
10.7504 8.5849 8.5849 Pt
0.0000 3.2225 3.2225 Pt
3.2225 6.4451 3.2225 Pt
3.2225 3.2225 6.4451 Pt
6.4451 6.4451 6.4451 Pt
2.1398 4.3053 4.3053 Pt
4.8873 8.0028 4.8873 Pt
4.8873 4.8873 8.0028 Pt
8.0028 8.0028 8.0028 Pt
8.5849 10.7504 8.5849 Pt
8.5849 8.5849 10.7504 Pt
10.7504 10.7504 10.7504 Pt
4.8873 8.0028 8.0028 Pt
```

Peak list (12 most intense, 2θ from 15° to 90°, in order of rising 2θ)
d = 2.631 Å, I 10.2
d = 2.481 Å, I 32.9
d = 2.279 Å, I 100.0
d = 2.179 Å, I 21.0
d = 2.038 Å, I 10.2
d = 1.611 Å, I 8.2
d = 1.415 Å, I 10.5
d = 1.351 Å, I 9.3
d = 1.316 Å, I 21.1
d = 1.296 Å, I 12.7
d = 1.139 Å, I 8.7
d = 1.126 Å, I 8.0

=====

Record 9
Computed powder diffractogram
Compound: DyPt12
Radiation: CuKα
Structure: a cell relaxed with PBE

Structure:
```
DyPt12
1.0
-4.5317 4.5317 2.7065
4.5317 -4.5317 2.7065
4.5317 4.5317 -2.7065
Dy Pt
1 12
Cartesian
0.0000 0.0000 0.0000 Dy
2.2658 2.2658 -1.3533 Pt
3.1126 0.0000 0.0000 Pt
2.2658 -2.2658 1.3533 Pt
5.9508 0.0000 0.0000 Pt
4.5317 2.5769 0.0000 Pt
0.0000 3.1126 0.0000 Pt
-2.2658 2.2658 1.3533 Pt
2.5769 4.5317 0.0000 Pt
2.2658 2.2658 1.3533 Pt
1.9548 0.0000 2.7065 Pt
0.0000 5.9508 0.0000 Pt
0.0000 1.9548 2.7065 Pt
```

Peak list (12 most intense, 2θ from 15° to 90°, in order of rising 2θ)
d = 2.707 Å, I 18.0
d = 2.638 Å, I 46.0
d = 2.324 Å, I 78.5
d = 2.280 Å, I 97.2
d = 2.266 Å, I 71.5
d = 2.068 Å, I 100.0
d = 2.037 Å, I 31.8
d = 2.027 Å, I 46.4
d = 1.466 Å, I 24.6
d = 1.319 Å, I 35.1
d = 1.311 Å, I 27.4
d = 1.162 Å, I 17.7

=====

Record 10
Computed powder diffractogram
Compound: DyPt4
Radiation: CuKα
Structure: a cell relaxed with PBE

Structure:
```
DyPt4
1.0
-4.5764 4.5764 4.5764
4.5764 -4.5764 4.5764
4.5764 4.5764 -4.5764
Dy Pt
4 16
Cartesian
2.5526 2.5526 -2.5526 Dy
2.5526 -2.5526 2.5526 Dy
2.0237 2.0237 2.0237 Dy
-2.5526 2.5526 2.5526 Dy
0.9886 0.9886 -0.9886 Pt
0.9886 -0.9886 0.9886 Pt
3.1754 0.0000 0.0000 Pt
5.9773 0.0000 0.0000 Pt
-0.9886 0.9886 0.9886 Pt
4.5764 2.2882 0.0000 Pt
4.5764 0.0000 2.2882 Pt
0.0000 3.1754 0.0000 Pt
0.0000 0.0000 3.1754 Pt
2.2882 4.5764 0.0000 Pt
2.2882 0.0000 4.5764 Pt
0.0000 5.9773 0.0000 Pt
0.0000 0.0000 5.9773 Pt
0.0000 4.5764 2.2882 Pt
0.0000 2.2882 4.5764 Pt
3.5877 3.5877 3.5877 Pt
```

Peak list (12 most intense, 2θ from 15° to 90°, in order of rising 2θ)
d = 4.576 Å, I 18.4
d = 2.642 Å, I 88.0
d = 2.446 Å, I 48.4
d = 2.288 Å, I 18.5
d = 2.157 Å, I 100.0
d = 1.951 Å, I 21.9
d = 1.618 Å, I 24.5
d = 1.485 Å, I 21.9
d = 1.380 Å, I 17.5
d = 1.349 Å, I 16.1
d = 1.246 Å, I 15.9
d = 1.127 Å, I 22.6

=====

Record 11
Computed powder diffractogram
Compound: DyPt4
Radiation: CuKα
Structure: a cell relaxed with PBE

Structure:
```
DyPt4
1.0
-2.1474 2.8992 7.0093
2.1474 -2.8992 7.0093
2.1474 2.8992 -7.0093
Dy Pt
2 8
Cartesian
0.0000 1.4496 1.5017 Dy
2.1474 1.4496 5.5077 Dy
2.1474 0.0000 0.0000 Pt
2.1474 -1.4496 5.5205 Pt
2.1474 -0.0904 2.7241 Pt
2.1474 2.8088 -2.7241 Pt
0.0000 0.0000 7.0093 Pt
0.0000 0.0904 9.7334 Pt
0.0000 2.9896 4.2853 Pt
0.0000 4.3488 1.4888 Pt
```

Peak list (12 most intense, 2θ from 15° to 90°, in order of rising 2θ)
d = 2.368 Å, I 87.4
d = 2.348 Å, I 100.0
d = 2.234 Å, I 33.9
d = 2.147 Å, I 39.8
d = 2.137 Å, I 14.7
d = 1.819 Å, I 20.6
d = 1.548 Å, I 21.8
d = 1.388 Å, I 17.1
d = 1.278 Å, I 12.6
d = 1.275 Å, I 14.7
d = 1.233 Å, I 24.9
d = 1.201 Å, I 11.8

=====

Record 12
Computed powder diffractogram
Compound: Dy4Pt
Radiation: CuKα
Structure: a cell relaxed with PBE

Structure:
```
Dy4Pt
1.0
3.8458 -6.2073 0.0000
3.8458 6.2073 0.0000
-3.8360 0.0000 6.2059
Dy Pt
8 2
Cartesian
1.9278 6.1450 3.1030 Dy
-1.4131 2.5370 5.6991 Dy
1.9307 3.1656 5.0727 Dy
2.4252 0.5666 2.4713 Dy
0.5048 -2.5370 2.5962 Dy
0.5072 -0.5666 5.5742 Dy
3.8487 -3.1656 1.9697 Dy
3.8458 -6.1450 0.0000 Dy
5.0584 1.5489 0.9844 Pt
3.1404 -1.5489 4.0874 Pt
```

Peak list (12 most intense, 2θ from 15° to 90°, in order of rising 2θ)
d = 5.785 Å, I 21.7
d = 4.389 Å, I 26.4
d = 2.892 Å, I 100.0
d = 2.776 Å, I 24.4
d = 2.735 Å, I 67.9
d = 2.461 Å, I 41.4
d = 2.321 Å, I 51.7
d = 2.251 Å, I 37.8
d = 2.194 Å, I 19.5
d = 1.822 Å, I 18.6
d = 1.711 Å, I 26.7
d = 1.635 Å, I 20.5